Record 1
This entry pairs a crystal structure of Ce2TmIn2Hg2 with its calculated X-ray powder pattern. Radiation: λ = 1.5418 Å (Cu Kα). Structure: a DFT-relaxed cell (PBE, Alexandria).
Intensities are scaled so that the largest is 100.

Main lines, low angle first (2θ from 15° to 90°):
hkl  Position (°2θ)  d [Å]  I_rel
0 1 5  26.99  3.304  9
1 0 7  31.58  2.833  100
1 1 0  37.26  2.413  71
0 2 7  49.63  1.837  28
0 1 14  52.29  1.750  18
2 1 7  63.66  1.462  27
2 0 14  65.95  1.416  9
3 0 0  67.19  1.393  13
1 2 14  78.26  1.222  11
1 3 7  87.97  1.110  12

Crystal structure
Cell: 4.8265 4.8265 26.9695 Å, 90.00 90.00 120.00°
Space group R-3m (No. 166, hexagonal axes)
Unique sites:
1 Ce 0.0000 0.0000 0.1421 [6 per cell]
2 Tm 0.0000 0.0000 0.0000 [3 per cell]
3 In 0.0000 0.0000 0.2741 [6 per cell]
4 Hg 0.0000 0.0000 0.4206 [6 per cell]



Record 2
This entry pairs a crystal structure of PmTm9Sc2 with its calculated X-ray powder pattern. Radiation: λ = 1.5418 Å (Cu Kα). Structure: a DFT-relaxed cell (PBE, Alexandria).
Intensities are scaled so that the largest is 100.

Main lines, low angle first (2θ from 15° to 90°):
hkl  Position (°2θ)  d [Å]  I_rel
2 1 0  24.89  3.577  13
1 1 1  30.73  2.909  13
2 0 1  32.19  2.781  92
2 2 0  32.78  2.732  100
2 1 1  36.25  2.478  20
4 0 1  46.61  1.949  30
4 2 1  58.15  1.586  30
6 0 0  58.52  1.577  15
2 2 2  64.01  1.455  29
6 0 2  83.13  1.162  11

Crystal structure
Cell: 10.9277 10.9277 3.4367 Å, 90.00 90.00 120.00°
Space group P6/mmm (No. 191)
Unique sites:
1 Pm 0.0000 0.0000 0.0000 [1 per cell]
2 Tm 0.0000 0.5000 0.0000 [3 per cell]
3 Tm 0.1807 0.3613 0.5000 [6 per cell]
4 Sc 0.3333 0.6667 0.0000 [2 per cell]



Record 3
This entry pairs a crystal structure of TiAlVTcRh with its calculated X-ray powder pattern. Radiation: λ = 1.5418 Å (Cu Kα). Structure: a DFT-relaxed cell (PBE, Alexandria).
Intensities are scaled so that the largest is 100.

Main lines, low angle first (2θ from 15° to 90°):
hkl  Position (°2θ)  d [Å]  I_rel
1 0 1  25.14  3.543  45
1 0 4  35.70  2.515  11
0 1 5  40.87  2.208  100
1 1 0  42.74  2.116  89
1 1 6  59.28  1.559  12
2 0 5  60.61  1.528  30
1 0 10  73.12  1.294  16
1 2 5  76.99  1.239  29
3 0 0  78.26  1.222  14
0 2 10  88.57  1.104  10

Crystal structure
Cell: 4.2316 4.2316 13.8338 Å, 90.00 90.00 120.00°
Space group R3m (No. 160, hexagonal axes)
Unique sites:
1 Ti 0.0000 0.0000 0.0000 [3 per cell]
2 Al 0.0000 0.0000 0.7963 [3 per cell]
3 V 0.0000 0.0000 0.5874 [3 per cell]
4 Tc 0.0000 0.0000 0.1983 [3 per cell]
5 Rh 0.0000 0.0000 0.3956 [3 per cell]